[1]
Structure and computed powder diffractogram of MnVPbO5 (a structure optimized by DFT (GGA+U); Cu Kα (weighted mean of Kα1 and Kα2)).
Lines closer than 0.1° are merged.

Main lines, in order of rising 2θ (10° ≤ 2θ ≤ 90°):
2θ 17.4, rel. 62
2θ 20.8, rel. 31
2θ 27.1, rel. 100
2θ 30.8, rel. 61
2θ 33.1, rel. 41
2θ 33.3, rel. 45
2θ 34.2, rel. 46
2θ 38.8, rel. 47

Structure:
```
data_MnVPbO5
_symmetry_space_group_name_H-M 'P 1'
_symmetry_Int_Tables_number 1
_cell_length_a 7.825
_cell_length_b 6.067
_cell_length_c 9.391
_cell_angle_alpha 90.00
_cell_angle_beta 90.00
_cell_angle_gamma 90.00
loop_
_symmetry_equiv_pos_as_xyz
'x,y,z'
loop_
_atom_site_label
_atom_site_fract_x
_atom_site_fract_y
_atom_site_fract_z
Mn1 0.000 0.000 0.000
Mn2 0.000 0.500 0.000
Mn3 0.500 0.000 0.500
Mn4 0.500 0.500 0.500
V1 0.146 0.250 0.300
V2 0.354 0.750 0.800
V3 0.646 0.250 0.200
V4 0.854 0.750 0.700
Pb1 0.107 0.250 0.673
Pb2 0.393 0.750 0.173
Pb3 0.607 0.250 0.827
Pb4 0.893 0.750 0.327
O1 0.027 0.750 0.595
O2 0.121 0.250 0.930
O3 0.134 0.006 0.195
O4 0.134 0.494 0.195
O5 0.176 0.750 0.916
O6 0.324 0.250 0.416
O7 0.366 0.506 0.695
O8 0.366 0.994 0.695
O9 0.379 0.750 0.430
O10 0.473 0.250 0.095
O11 0.527 0.750 0.905
O12 0.621 0.250 0.570
O13 0.634 0.006 0.305
O14 0.634 0.494 0.305
O15 0.676 0.750 0.584
O16 0.824 0.250 0.084
O17 0.866 0.506 0.805
O18 0.866 0.994 0.805
O19 0.879 0.750 0.070
O20 0.973 0.250 0.405
```

[2]
Structure and computed powder diffractogram of MnV2Pb2O9 (a structure optimized by DFT (GGA+U); Cu Kα (weighted mean of Kα1 and Kα2)).
Lines closer than 0.1° are merged.

Main lines, in order of rising 2θ (10° ≤ 2θ ≤ 90°):
2θ 18.3, rel. 67
2θ 26.4, rel. 100
2θ 29.0, rel. 41
2θ 29.5, rel. 32
2θ 30.1, rel. 40
2θ 32.0, rel. 49
2θ 33.1, rel. 29
2θ 38.5, rel. 41

Structure:
```
data_MnV2Pb2O9
_symmetry_space_group_name_H-M 'P 1'
_symmetry_Int_Tables_number 1
_cell_length_a 8.242
_cell_length_b 5.932
_cell_length_c 9.097
_cell_angle_alpha 90.00
_cell_angle_beta 113.04
_cell_angle_gamma 90.00
loop_
_symmetry_equiv_pos_as_xyz
'x,y,z'
loop_
_atom_site_label
_atom_site_fract_x
_atom_site_fract_y
_atom_site_fract_z
Mn1 0.000 0.000 0.000
Mn2 0.000 0.500 0.000
V1 0.021 0.250 0.323
V2 0.415 0.250 0.174
V3 0.585 0.750 0.826
V4 0.979 0.750 0.677
Pb1 0.290 0.750 0.367
Pb2 0.292 0.250 0.731
Pb3 0.708 0.750 0.269
Pb4 0.710 0.250 0.633
O1 0.032 0.501 0.799
O2 0.032 0.999 0.799
O3 0.093 0.750 0.559
O4 0.159 0.750 0.079
O5 0.169 0.250 0.080
O6 0.244 0.250 0.442
O7 0.490 0.009 0.291
O8 0.490 0.250 0.029
O9 0.490 0.491 0.291
O10 0.510 0.509 0.709
O11 0.510 0.750 0.971
O12 0.510 0.991 0.709
O13 0.756 0.750 0.558
O14 0.831 0.750 0.920
O15 0.841 0.250 0.921
O16 0.907 0.250 0.441
O17 0.968 0.001 0.201
O18 0.968 0.499 0.201
```

[3]
Structure and computed powder diffractogram of Mn2V2PbO10 (a structure optimized by DFT (GGA+U); Cu Kα (weighted mean of Kα1 and Kα2)).
Lines closer than 0.1° are merged.

Main lines, in order of rising 2θ (10° ≤ 2θ ≤ 90°):
2θ 19.0, rel. 52
2θ 19.1, rel. 100
2θ 26.7, rel. 76
2θ 28.5, rel. 54
2θ 32.0, rel. 52
2θ 32.3, rel. 48
2θ 34.2, rel. 33
2θ 52.8, rel. 33

Structure:
```
data_Mn2V2PbO10
_symmetry_space_group_name_H-M 'P 1'
_symmetry_Int_Tables_number 1
_cell_length_a 5.611
_cell_length_b 5.611
_cell_length_c 8.052
_cell_angle_alpha 111.62
_cell_angle_beta 111.62
_cell_angle_gamma 64.50
loop_
_symmetry_equiv_pos_as_xyz
'x,y,z'
loop_
_atom_site_label
_atom_site_fract_x
_atom_site_fract_y
_atom_site_fract_z
Mn1 0.000 0.500 0.000
Mn2 0.500 0.000 0.000
V1 0.075 0.075 0.266
V2 0.925 0.925 0.734
Pb1 0.500 0.500 0.500
O1 0.176 0.176 0.116
O2 0.191 0.718 0.230
O3 0.212 0.212 0.484
O4 0.282 0.809 0.770
O5 0.319 0.319 0.916
O6 0.681 0.681 0.084
O7 0.718 0.191 0.230
O8 0.788 0.788 0.516
O9 0.809 0.282 0.770
O10 0.824 0.824 0.884
```

[4]
Structure and computed powder diffractogram of PrMn7O12 (a structure optimized by DFT (GGA+U); Cu Kα (weighted mean of Kα1 and Kα2)).
Lines closer than 0.1° are merged.

Main lines, in order of rising 2θ (10° ≤ 2θ ≤ 90°):
2θ 16.5, rel. 16
2θ 33.4, rel. 100
2θ 37.5, rel. 13
2θ 44.7, rel. 12
2θ 48.0, rel. 26
2θ 59.8, rel. 49
2θ 70.2, rel. 12
2θ 80.0, rel. 16

Structure:
```
data_PrMn7O12
_symmetry_space_group_name_H-M 'P 1'
_symmetry_Int_Tables_number 1
_cell_length_a 6.566
_cell_length_b 6.566
_cell_length_c 6.566
_cell_angle_alpha 109.47
_cell_angle_beta 109.47
_cell_angle_gamma 109.47
loop_
_symmetry_equiv_pos_as_xyz
'x,y,z'
loop_
_atom_site_label
_atom_site_fract_x
_atom_site_fract_y
_atom_site_fract_z
Pr1 0.000 0.000 0.000
Mn1 0.000 0.000 0.500
Mn2 0.000 0.500 0.000
Mn3 0.000 0.500 0.500
Mn4 0.500 0.000 0.000
Mn5 0.500 0.000 0.500
Mn6 0.500 0.500 0.000
Mn7 0.500 0.500 0.500
O1 0.132 0.307 0.825
O2 0.175 0.483 0.307
O3 0.175 0.868 0.693
O4 0.307 0.175 0.483
O5 0.307 0.825 0.132
O6 0.483 0.307 0.175
O7 0.517 0.693 0.825
O8 0.693 0.175 0.868
O9 0.693 0.825 0.517
O10 0.825 0.132 0.307
O11 0.825 0.517 0.693
O12 0.868 0.693 0.175
```

[5]
Structure and computed powder diffractogram of PrMn7O12 (a structure optimized by DFT (GGA+U); Cu Kα (weighted mean of Kα1 and Kα2)).
Lines closer than 0.1° are merged.

Main lines, in order of rising 2θ (10° ≤ 2θ ≤ 90°):
2θ 16.5, rel. 16
2θ 33.4, rel. 100
2θ 37.5, rel. 13
2θ 44.6, rel. 9
2θ 47.9, rel. 26
2θ 59.6, rel. 37
2θ 59.8, rel. 12
2θ 79.8, rel. 8

Structure:
```
data_PrMn7O12
_symmetry_space_group_name_H-M 'P 1'
_symmetry_Int_Tables_number 1
_cell_length_a 6.581
_cell_length_b 6.581
_cell_length_c 6.581
_cell_angle_alpha 109.53
_cell_angle_beta 109.53
_cell_angle_gamma 109.53
loop_
_symmetry_equiv_pos_as_xyz
'x,y,z'
loop_
_atom_site_label
_atom_site_fract_x
_atom_site_fract_y
_atom_site_fract_z
Pr1 0.000 0.000 0.000
Mn1 0.000 0.000 0.500
Mn2 0.000 0.500 0.000
Mn3 0.000 0.500 0.500
Mn4 0.500 0.000 0.000
Mn5 0.500 0.000 0.500
Mn6 0.500 0.500 0.000
Mn7 0.500 0.500 0.500
O1 0.131 0.819 0.305
O2 0.178 0.315 0.476
O3 0.181 0.695 0.869
O4 0.305 0.131 0.819
O5 0.315 0.476 0.178
O6 0.476 0.178 0.315
O7 0.524 0.822 0.685
O8 0.685 0.524 0.822
O9 0.695 0.869 0.181
O10 0.819 0.305 0.131
O11 0.822 0.685 0.524
O12 0.869 0.181 0.695
```

[6]
Structure and computed powder diffractogram of PrMn7O12 (a structure optimized by DFT (GGA+U); Cu Kα (weighted mean of Kα1 and Kα2)).
Lines closer than 0.1° are merged.

Main lines, in order of rising 2θ (10° ≤ 2θ ≤ 90°):
2θ 33.3, rel. 21
2θ 33.5, rel. 100
2θ 37.6, rel. 10
2θ 47.8, rel. 11
2θ 48.0, rel. 10
2θ 48.2, rel. 10
2θ 59.8, rel. 20
2θ 60.0, rel. 19

Structure:
```
data_PrMn7O12
_symmetry_space_group_name_H-M 'P 1'
_symmetry_Int_Tables_number 1
_cell_length_a 6.549
_cell_length_b 6.549
_cell_length_c 7.576
_cell_angle_alpha 125.08
_cell_angle_beta 125.08
_cell_angle_gamma 70.43
loop_
_symmetry_equiv_pos_as_xyz
'x,y,z'
loop_
_atom_site_label
_atom_site_fract_x
_atom_site_fract_y
_atom_site_fract_z
Pr1 0.000 0.000 0.000
Mn1 0.000 0.000 0.500
Mn2 0.000 0.500 0.000
Mn3 0.000 0.500 0.500
Mn4 0.500 0.000 0.000
Mn5 0.500 0.000 0.500
Mn6 0.500 0.500 0.000
Mn7 0.500 0.500 0.500
O1 0.133 0.483 0.312
O2 0.171 0.171 0.867
O3 0.178 0.178 0.487
O4 0.300 0.685 0.166
O5 0.315 0.700 0.834
O6 0.483 0.133 0.312
O7 0.517 0.867 0.688
O8 0.685 0.300 0.166
O9 0.700 0.315 0.834
O10 0.822 0.822 0.513
O11 0.829 0.829 0.133
O12 0.867 0.517 0.688
```